Starting from a crystal structure in the Materials Project, relaxed with PBE, the X-ray powder pattern of Pr4MgTe8O22 was calculated for a wavelength of 1.5418 Å.

Principal peaks in the range 2θ = 10–90°, by angle:
d 3.467, I 100
d 3.327, I 80
d 3.156, I 52
d 3.131, I 38
d 2.976, I 35
d 2.027, I 36

Cell lengths 5.4038, 6.8937, 17.7381 Å; angles 98.48, 92.43, 112.50 degrees
Atoms (fractional coordinates):
Pr 0.0000 0.0000 0.0000
Pr 0.1573 0.4368 0.5425
Pr 0.3152 0.6125 0.0682
Pr 0.4924 0.0478 0.6101
Mg 0.6214 0.3282 0.4294
Te 0.0686 0.2232 0.7614
Te 0.1993 0.3713 0.3041
Te 0.3623 0.8123 0.8517
Te 0.5922 0.2128 0.1522
Te 0.7148 0.3966 0.9187
Te 0.8216 0.8664 0.4610
Te 0.8236 0.6427 0.6916
Te 0.9485 0.7920 0.2164
O 0.1132 0.8686 0.1259
O 0.1136 0.7187 0.6301
O 0.1239 0.0505 0.5319
O 0.2021 0.7433 0.9441
O 0.2602 0.3146 0.4078
O 0.3444 0.5198 0.8110
O 0.3478 0.1425 0.7333
O 0.3662 0.2842 0.0858
O 0.3809 0.1595 0.9175
O 0.5354 0.7574 0.5225
O 0.5547 0.4385 0.6155
O 0.5788 0.6938 0.1912
O 0.6459 0.0049 0.0789
O 0.6694 0.6103 0.9908
O 0.7249 0.1606 0.4910
O 0.7323 0.9130 0.8791
O 0.7407 0.8902 0.6932
O 0.9072 0.6087 0.4584
O 0.9285 0.4610 0.1561
O 0.9304 0.0861 0.2552
O 0.9438 0.3289 0.9856
O 0.9611 0.3082 0.6714

---

Starting from a crystal structure in the Materials Project, relaxed with PBE, the X-ray powder pattern of LaWN3 was calculated for a wavelength of 1.5418 Å.

Principal peaks in the range 2θ = 10–90°, by angle:
d 2.849, I 100
d 2.822, I 99
d 2.005, I 49
d 1.645, I 22
d 1.639, I 41
d 1.624, I 20

Cell lengths 5.6444, 5.6444, 5.6444 Å; angles 60.62, 60.62, 60.62 degrees
Atoms (fractional coordinates):
La 0.2500 0.2500 0.2500
La 0.7500 0.7500 0.7500
W 0.0000 0.0000 0.0000
W 0.5000 0.5000 0.5000
N 0.1988 0.7500 0.3012
N 0.2500 0.6988 0.8012
N 0.3012 0.1988 0.7500
N 0.6988 0.8012 0.2500
N 0.7500 0.3012 0.1988
N 0.8012 0.2500 0.6988

---

Starting from a crystal structure in the Materials Project, relaxed with PBE, the X-ray powder pattern of PmN was calculated for a wavelength of 1.5418 Å.

Principal peaks in the range 2θ = 10–90°, by angle:
d 2.953, I 100
d 2.557, I 74
d 1.808, I 52
d 1.542, I 46
d 1.173, I 19
d 1.144, I 23

Cell lengths 3.6166, 3.6166, 3.6166 Å; angles 60.00, 60.00, 60.00 degrees
Atoms (fractional coordinates):
Pm 0.0000 0.0000 0.0000
N 0.5000 0.5000 0.5000

---

Starting from a crystal structure in the Materials Project, relaxed with PBE, the X-ray powder pattern of SrZrS3 was calculated for a wavelength of 1.5418 Å.

Principal peaks in the range 2θ = 10–90°, by angle:
d 3.592, I 21
d 3.486, I 100
d 3.396, I 24
d 2.465, I 66
d 2.203, I 25
d 1.977, I 38

Cell lengths 7.1842, 9.8461, 6.7922 Å; angles 90.00, 90.00, 90.00 degrees
Atoms (fractional coordinates):
Sr 0.0801 0.2500 0.0250
Sr 0.4199 0.7500 0.5250
Sr 0.5801 0.2500 0.4750
Sr 0.9199 0.7500 0.9750
Zr 0.0000 0.0000 0.5000
Zr 0.0000 0.5000 0.5000
Zr 0.5000 0.0000 0.0000
Zr 0.5000 0.5000 0.0000
S 0.0199 0.7500 0.4017
S 0.1968 0.5505 0.8077
S 0.1968 0.9495 0.8077
S 0.3032 0.0505 0.3077
S 0.3032 0.4495 0.3077
S 0.4801 0.2500 0.9017
S 0.5199 0.7500 0.0983
S 0.6968 0.5505 0.6923
S 0.6968 0.9495 0.6923
S 0.8032 0.0505 0.1923
S 0.8032 0.4495 0.1923
S 0.9801 0.2500 0.5983

---

Starting from a crystal structure in the Materials Project, relaxed with PBE, the X-ray powder pattern of Er2RuPt was calculated for a wavelength of 1.5418 Å.

Principal peaks in the range 2θ = 10–90°, by angle:
d 3.947, I 5
d 2.417, I 100
d 2.061, I 3
d 1.709, I 18
d 1.395, I 36
d 1.209, I 11

Cell lengths 4.8341, 4.8341, 4.8341 Å; angles 60.00, 60.00, 60.00 degrees
Atoms (fractional coordinates):
Er 0.2500 0.2500 0.2500
Er 0.7500 0.7500 0.7500
Ru 0.0000 0.0000 0.0000
Pt 0.5000 0.5000 0.5000

---

Starting from a crystal structure in the Materials Project, relaxed with PBE, the X-ray powder pattern of MgTl2Pb16Br18O8 was calculated for a wavelength of 1.5418 Å.

Principal peaks in the range 2θ = 10–90°, by angle:
d 3.445, I 49
d 3.355, I 44
d 2.997, I 47
d 2.968, I 100
d 2.844, I 67
d 2.834, I 53

Cell lengths 8.4830, 12.6018, 12.8021 Å; angles 90.39, 91.63, 90.43 degrees
Atoms (fractional coordinates):
Mg 0.0000 0.0000 0.0000
Tl 0.5210 0.1107 0.6581
Tl 0.8526 0.6072 0.1574
Pb 0.0096 0.2019 0.4021
Pb 0.0132 0.3849 0.7425
Pb 0.0167 0.8463 0.5758
Pb 0.0654 0.0787 0.7931
Pb 0.3566 0.8845 0.2570
Pb 0.3620 0.5313 0.4310
Pb 0.3780 0.3413 0.0715
Pb 0.3792 0.6929 0.8878
Pb 0.5456 0.0467 0.0332
Pb 0.5460 0.1770 0.2959
Pb 0.5488 0.4787 0.7111
Pb 0.5536 0.7535 0.6053
Pb 0.8174 0.9710 0.2392
Pb 0.8339 0.5581 0.5237
Pb 0.8445 0.2354 0.1091
Pb 0.8452 0.6727 0.7930
Br 0.0632 0.3988 0.2801
Br 0.0706 0.7330 0.3754
Br 0.0816 0.4971 0.9446
Br 0.0829 0.8124 0.0568
Br 0.1851 0.1068 0.1545
Br 0.1942 0.6099 0.6574
Br 0.3010 0.0024 0.4515
Br 0.3066 0.8959 0.7716
Br 0.3091 0.3284 0.5393
Br 0.3334 0.2366 0.8618
Br 0.5720 0.4365 0.2755
Br 0.5870 0.7371 0.3478
Br 0.5886 0.7915 0.0474
Br 0.5902 0.4913 0.9745
Br 0.7754 0.9265 0.7782
Br 0.7830 0.2978 0.5397
Br 0.7888 0.9965 0.4850
Br 0.7952 0.2395 0.8455
O 0.5530 0.0052 0.2166
O 0.5634 0.5692 0.5514
O 0.5671 0.2184 0.1154
O 0.5712 0.6611 0.7675
O 0.8131 0.0522 0.0700
O 0.8163 0.1582 0.2769
O 0.8209 0.5077 0.7040
O 0.8241 0.7217 0.6128

---

Starting from a crystal structure in the Materials Project, relaxed with PBE, the X-ray powder pattern of LiHfIr2 was calculated for a wavelength of 1.5418 Å.

Principal peaks in the range 2θ = 10–90°, by angle:
d 3.617, I 23
d 3.132, I 16
d 2.215, I 100
d 1.566, I 17
d 1.279, I 35
d 1.107, I 12

Cell lengths 4.4300, 4.4300, 4.4300 Å; angles 60.00, 60.00, 60.00 degrees
Atoms (fractional coordinates):
Li 0.0000 0.0000 0.0000
Hf 0.5000 0.5000 0.5000
Ir 0.2500 0.2500 0.2500
Ir 0.7500 0.7500 0.7500

---

Starting from a crystal structure in the Materials Project, relaxed with PBE, the X-ray powder pattern of CsDy2Cu3Se5 was calculated for a wavelength of 1.5418 Å.

Principal peaks in the range 2θ = 10–90°, by angle:
d 3.111, I 100
d 2.972, I 75
d 2.905, I 88
d 2.559, I 67
d 2.070, I 67
d 1.956, I 72

Cell lengths 7.6343, 7.6343, 17.4312 Å; angles 90.00, 90.00, 148.54 degrees
Atoms (fractional coordinates):
Cs 0.0608 0.9392 0.7500
Cs 0.9392 0.0608 0.2500
Dy 0.1921 0.8079 0.0911
Dy 0.1921 0.8079 0.4089
Dy 0.8079 0.1921 0.5911
Dy 0.8079 0.1921 0.9089
Cu 0.3417 0.6583 0.7500
Cu 0.4157 0.5843 0.0302
Cu 0.4157 0.5843 0.4698
Cu 0.5843 0.4157 0.5302
Cu 0.5843 0.4157 0.9698
Cu 0.6583 0.3417 0.2500
Se 0.1677 0.8323 0.5701
Se 0.1677 0.8323 0.9299
Se 0.2379 0.7621 0.2500
Se 0.4393 0.5607 0.6120
Se 0.4393 0.5607 0.8880
Se 0.5607 0.4393 0.1120
Se 0.5607 0.4393 0.3880
Se 0.7621 0.2379 0.7500
Se 0.8323 0.1677 0.0701
Se 0.8323 0.1677 0.4299